# SrTl2RhO6
Theoretical powder diffraction line list, Cu Kα X-rays. Input: a crystal structure in Alexandria, relaxed with PBE.
Lines closer than 0.1° are merged.

Structural model:
```
data_SrTl2RhO6
_chemical_formula_sum 'Sr3 Tl6 Rh3 O18'
_symmetry_space_group_name_H-M 'R 3'
_symmetry_Int_Tables_number 146
_symmetry_space_group_name_Hall 'R 3'
_cell_length_a 5.7850
_cell_length_b 5.7850
_cell_length_c 15.2976
_cell_angle_alpha 90.00
_cell_angle_beta 90.00
_cell_angle_gamma 120.00
loop_
_atom_site_label
_atom_site_fract_x
_atom_site_fract_y
_atom_site_fract_z
Sr1 0.0000 0.0000 0.0000
Tl1 0.0000 0.0000 0.2664
Tl2 0.0000 0.0000 0.7839
Rh1 0.0000 0.0000 0.4824
O1 0.0093 0.7377 0.4008
O2 0.0209 0.3856 0.2194
```

Peak list (10 most intense, 10 to 90 degrees two-theta, in order of rising 2θ)
- 21.20 deg, I 45, hkl 0 1 2
- 29.38 deg, I 100, hkl 1 0 4
- 30.91 deg, I 98, hkl 1 1 0
- 43.17 deg, I 39, hkl 0 2 4
- 47.54 deg, I 32, hkl 2 -1 6
- 54.04 deg, I 41, hkl 3 -1 4
- 54.98 deg, I 27, hkl 3 0 0
- 64.42 deg, I 13, hkl 2 2 0
- 72.36 deg, I 21, hkl 1 3 4
- 88.90 deg, I 13, hkl 3 2 4